PHPbO4: computed powder diffractogram (Cu Kα, 1.54184 Å), based on the PBE geometry in the Materials Project.
Kinematic intensities with the Lorentz-polarization factor, no thermal factor.

```
14
Lattice="4.7970 0.0000 0.0000 0.0000 6.6660 0.0000 -0.7191 0.0000 5.8066" Properties=species:S:1:pos:R:3 pbc="T T T"
P -0.1798 1.4085 1.4516
P -0.5393 5.2575 4.3549
H 0.0000 3.3330 0.0000
H -0.3595 3.3330 2.9033
Pb 1.8592 1.3295 4.3549
Pb 2.2187 5.3365 1.4516
O 0.5180 2.3111 0.3804
O 0.1585 4.3549 3.2837
O 0.8942 0.5418 2.1563
O 0.5347 6.1242 5.0596
O 3.5432 0.5418 0.7469
O 3.1837 6.1242 3.6502
O 3.9194 2.3111 2.5229
O 3.5599 4.3549 5.4262
```

Largest 10 diffraction maxima, sorted by position, 10° ≤ 2θ ≤ 80°:
2θ (°)  I (rel.)
13.3  30.4
18.6  40.9
20.3  65.2
26.3  100.0
26.7  31.5
29.0  87.3
30.8  29.2
35.3  25.1
45.0  24.3
46.9  23.7